(1)
For Ag2Bi2SeS3, DFT lattice parameters and positions (GGA-PBE) gives the calculated X-ray powder pattern in this record (Cu Kα (λ = 1.5418 Å)).
Intensities are scaled so that the largest is 100.

Principal peaks in the range 2θ = 10–90°, in order of falling intensity:
2theta, I (rel.)
30.92, 100
26.91, 87
44.86, 71
31.68, 47
55.48, 37
44.30, 37
52.60, 29
81.94, 24
73.19, 17
73.59, 16

Atomic structure:
```
Ag2Bi2SeS3
1.0
5.6494 0.0000 0.0000
0.0000 5.7814 0.0000
0.0000 0.0000 11.5708
Ag Bi Se S
4 4 2 6
Direct
0.0000 0.0000 0.0000
0.0000 0.5000 0.2455
0.5000 0.0000 0.7455
0.5000 0.5000 0.5000
0.0000 0.0000 0.4898
0.0000 0.5000 0.7438
0.5000 0.0000 0.2438
0.5000 0.5000 0.9898
0.0000 0.0000 0.7476
0.5000 0.5000 0.2476
0.0000 0.0000 0.2483
0.0000 0.5000 0.5001
0.0000 0.5000 0.9902
0.5000 0.0000 0.0001
0.5000 0.0000 0.4902
0.5000 0.5000 0.7483
```


(2)
For Ag2SnBiS4, DFT lattice parameters and positions (GGA-PBE) gives the calculated X-ray powder pattern in this record (Cu Kα (λ = 1.5418 Å)).
Intensities are scaled so that the largest is 100.

Principal peaks in the range 2θ = 10–90°, in order of falling intensity:
2theta, I (rel.)
27.58, 100
32.12, 93
45.69, 68
31.61, 48
56.95, 35
46.07, 33
54.54, 32
85.06, 23
53.87, 17
75.32, 15

Atomic structure:
```
Ag2SnBiS4
1.0
5.5727 0.0000 0.0000
0.0000 5.5727 0.0000
0.0000 0.0000 11.3221
Ag Sn Bi S
4 2 2 8
Direct
0.0000 0.0000 0.0000
0.0000 0.5000 0.2500
0.5000 0.0000 0.7500
0.5000 0.5000 0.5000
0.0000 0.0000 0.5000
0.5000 0.5000 0.0000
0.0000 0.5000 0.7500
0.5000 0.0000 0.2500
0.0000 0.0000 0.2535
0.0000 0.0000 0.7465
0.0000 0.5000 0.0011
0.0000 0.5000 0.4989
0.5000 0.0000 0.5011
0.5000 0.0000 0.9989
0.5000 0.5000 0.2465
0.5000 0.5000 0.7535
```


(3)
For Ag2BiSbSe4, DFT lattice parameters and positions (GGA-PBE) gives the calculated X-ray powder pattern in this record (Cu Kα (λ = 1.5418 Å)).
Intensities are scaled so that the largest is 100.

Principal peaks in the range 2θ = 10–90°, in order of falling intensity:
2theta, I (rel.)
30.66, 100
43.79, 74
30.49, 51
54.40, 39
43.91, 37
72.43, 33
80.63, 25
26.42, 21
72.12, 16
80.37, 12

Atomic structure:
```
Ag2BiSbSe4
1.0
5.8323 0.0000 0.0000
0.0000 5.8323 0.0000
0.0000 0.0000 11.7267
Ag Bi Sb Se
4 2 2 8
Direct
0.0000 0.0000 0.0000
0.0000 0.5000 0.2500
0.5000 0.0000 0.7500
0.5000 0.5000 0.5000
0.0000 0.5000 0.7500
0.5000 0.0000 0.2500
0.0000 0.0000 0.5000
0.5000 0.5000 0.0000
0.0000 0.0000 0.2551
0.0000 0.0000 0.7449
0.0000 0.5000 0.0021
0.0000 0.5000 0.4979
0.5000 0.0000 0.5021
0.5000 0.0000 0.9979
0.5000 0.5000 0.2449
0.5000 0.5000 0.7551
```


(4)
For Ag2BiSbTe2Se2, DFT lattice parameters and positions (GGA-PBE) gives the calculated X-ray powder pattern in this record (Cu Kα (λ = 1.5418 Å)).
Intensities are scaled so that the largest is 100.

Principal peaks in the range 2θ = 10–90°, in order of falling intensity:
2theta, I (rel.)
29.52, 100
29.73, 98
29.89, 93
52.74, 75
42.39, 74
42.51, 71
42.67, 70
69.62, 33
77.53, 24
77.84, 24

Atomic structure:
```
Ag2BiSbTe2Se2
1.0
6.0099 0.0000 0.0000
0.0000 6.0512 0.0000
0.0000 0.0000 11.9561
Ag Bi Sb Te Se
4 2 2 4 4
Direct
0.0000 0.0000 0.0000
0.0000 0.5000 0.2512
0.5000 0.0000 0.7512
0.5000 0.5000 0.5000
0.0000 0.5000 0.7349
0.5000 0.0000 0.2349
0.0000 0.0000 0.4844
0.5000 0.5000 0.9844
0.0000 0.0000 0.7500
0.0000 0.5000 0.0038
0.5000 0.0000 0.5038
0.5000 0.5000 0.2500
0.0000 0.0000 0.2531
0.0000 0.5000 0.4957
0.5000 0.0000 0.9957
0.5000 0.5000 0.7531
```


(5)
For Ag2SnBiSe4, DFT lattice parameters and positions (GGA-PBE) gives the calculated X-ray powder pattern in this record (Cu Kα (λ = 1.5418 Å)).
Intensities are scaled so that the largest is 100.

Principal peaks in the range 2θ = 10–90°, in order of falling intensity:
2theta, I (rel.)
30.55, 100
43.93, 39
43.57, 30
54.45, 19
72.44, 17
26.45, 10
80.50, 10
63.59, 10
71.92, 9
38.14, 8

Atomic structure:
```
Ag2SnBiSe4
1.0
2.0613 1.1901 13.6218
-2.0613 1.1901 13.6218
0.0000 -2.3802 13.6218
Ag Sn Bi Se
2 1 1 4
Direct
0.0000 0.0000 0.0000
0.2648 0.2648 0.2648
0.5150 0.5150 0.5150
0.7544 0.7544 0.7544
0.1328 0.1328 0.1328
0.3789 0.3789 0.3789
0.6329 0.6329 0.6329
0.8873 0.8873 0.8873
```


(6)
For AgBiTeSe, DFT lattice parameters and positions (GGA-PBE) gives the calculated X-ray powder pattern in this record (Cu Kα (λ = 1.5418 Å)).
Intensities are scaled so that the largest is 100.

Principal peaks in the range 2θ = 10–90°, in order of falling intensity:
2theta, I (rel.)
30.07, 100
41.82, 82
28.37, 58
52.36, 42
43.05, 38
78.07, 26
67.35, 20
70.04, 18
70.92, 17
21.14, 16

Atomic structure:
```
AgBiTeSe
1.0
4.2022 0.0000 0.0000
0.0000 4.2022 0.0000
0.0000 0.0000 6.2922
Ag Bi Te Se
1 1 1 1
Direct
0.0000 0.0000 0.0000
0.5000 0.5000 0.5000
0.5000 0.5000 0.0000
0.0000 0.0000 0.5000
```


(7)
For Ag3Br, DFT lattice parameters and positions (GGA-PBE) gives the calculated X-ray powder pattern in this record (Cu Kα (λ = 1.5418 Å)).
Intensities are scaled so that the largest is 100.

Principal peaks in the range 2θ = 10–90°, in order of falling intensity:
2theta, I (rel.)
36.99, 100
31.57, 25
38.11, 22
69.95, 16
68.14, 15
56.21, 15
15.63, 14
50.30, 13
69.22, 10
52.14, 7

Atomic structure:
```
Ag3Br
1.0
6.5454 0.0000 0.0000
-3.2727 5.6685 0.0000
0.0000 0.0000 4.7222
Ag Br
6 2
Direct
0.1473 0.2947 0.2500
0.1473 0.8527 0.2500
0.2947 0.1473 0.7500
0.7053 0.8527 0.2500
0.8527 0.1473 0.7500
0.8527 0.7053 0.7500
0.3333 0.6667 0.7500
0.6667 0.3333 0.2500
```


(8)
For AgBr, DFT lattice parameters and positions (GGA-PBE) gives the calculated X-ray powder pattern in this record (Cu Kα (λ = 1.5418 Å)).
Intensities are scaled so that the largest is 100.

Principal peaks in the range 2θ = 10–90°, in order of falling intensity:
2theta, I (rel.)
30.55, 100
43.76, 72
72.20, 31
54.31, 25
80.39, 23
63.60, 11
26.38, 5
51.82, 2
70.10, 1
86.40, 1

Atomic structure:
```
AgBr
1.0
5.8516 0.0000 0.0000
0.0000 5.8516 0.0000
0.0000 0.0000 5.8516
Ag Br
4 4
Direct
0.0000 0.0000 0.0000
0.0000 0.5000 0.5000
0.5000 0.0000 0.5000
0.5000 0.5000 0.0000
0.0000 0.0000 0.5000
0.0000 0.5000 0.0000
0.5000 0.0000 0.0000
0.5000 0.5000 0.5000
```